Starting from DFT lattice parameters and positions (GGA-PBE), the powder diffraction line list of Si2H5CNCl4 was calculated for Cu Kα.

The 8 most intense peaks (2θ from 10° to 90°), by angle:
2θ/deg	Rel. int.
15.21	66
16.15	59
17.93	52
20.52	80
24.58	40
25.29	32
28.13	100
29.25	25

Structural model:
Unit cell a=7.926 b=12.676 c=10.986 alpha=90.00 beta=92.51 gamma=90.00
Sites, in units of the cell vectors:
Si: 0.070 0.195 0.193
Si: 0.070 0.305 0.693
Si: 0.341 0.051 0.300
Si: 0.341 0.449 0.800
Si: 0.659 0.551 0.200
Si: 0.659 0.949 0.700
Si: 0.930 0.695 0.307
Si: 0.930 0.805 0.807
H: 0.007 0.670 0.190
H: 0.007 0.830 0.690
H: 0.219 0.044 0.398
H: 0.219 0.456 0.898
H: 0.293 0.112 0.994
H: 0.293 0.388 0.494
H: 0.384 0.230 0.059
H: 0.384 0.270 0.559
H: 0.483 0.106 0.086
H: 0.483 0.394 0.586
H: 0.517 0.606 0.414
H: 0.517 0.894 0.914
H: 0.616 0.730 0.441
H: 0.616 0.770 0.941
H: 0.707 0.612 0.506
H: 0.707 0.888 0.006
H: 0.781 0.544 0.102
H: 0.781 0.956 0.602
H: 0.993 0.170 0.310
H: 0.993 0.330 0.810
C: 0.360 0.146 0.075
C: 0.360 0.354 0.575
C: 0.640 0.646 0.425
C: 0.640 0.854 0.925
N: 0.260 0.130 0.185
N: 0.260 0.370 0.685
N: 0.740 0.630 0.315
N: 0.740 0.870 0.815
Cl: 0.093 0.653 0.450
Cl: 0.093 0.847 0.950
Cl: 0.104 0.145 0.679
Cl: 0.104 0.355 0.179
Cl: 0.394 0.597 0.736
Cl: 0.394 0.903 0.236
Cl: 0.433 0.611 0.129
Cl: 0.433 0.889 0.629
Cl: 0.567 0.111 0.371
Cl: 0.567 0.389 0.871
Cl: 0.606 0.097 0.764
Cl: 0.606 0.403 0.264
Cl: 0.896 0.645 0.821
Cl: 0.896 0.855 0.321
Cl: 0.907 0.153 0.050
Cl: 0.907 0.347 0.550

---

Starting from DFT lattice parameters and positions (GGA-PBE), the powder diffraction line list of SnH14C4N2Cl4 was calculated for Cu Kα.

The 8 most intense peaks (2θ from 10° to 90°), by angle:
2θ/deg	Rel. int.
12.60	100
14.59	33
14.87	21
16.67	17
17.39	29
21.47	15
25.51	25
36.65	23

Structural model:
Unit cell a=6.389 b=8.618 c=13.017 alpha=90.00 beta=111.14 gamma=90.00
Sites, in units of the cell vectors:
Sn: 0.000 0.000 0.000
Sn: 0.000 0.500 0.500
H: 0.123 0.121 0.588
H: 0.123 0.379 0.088
H: 0.132 0.152 0.453
H: 0.132 0.348 0.953
H: 0.324 0.194 0.238
H: 0.324 0.306 0.738
H: 0.380 0.090 0.564
H: 0.380 0.410 0.064
H: 0.390 0.141 0.028
H: 0.390 0.359 0.528
H: 0.423 0.726 0.289
H: 0.423 0.774 0.789
H: 0.470 0.034 0.207
H: 0.470 0.466 0.707
H: 0.530 0.534 0.293
H: 0.530 0.966 0.793
H: 0.577 0.226 0.211
H: 0.577 0.274 0.711
H: 0.610 0.641 0.472
H: 0.610 0.859 0.972
H: 0.620 0.590 0.936
H: 0.620 0.910 0.436
H: 0.676 0.694 0.262
H: 0.676 0.806 0.762
H: 0.868 0.652 0.047
H: 0.868 0.848 0.547
H: 0.877 0.621 0.912
H: 0.877 0.879 0.412
C: 0.227 0.161 0.542
C: 0.227 0.339 0.042
C: 0.424 0.156 0.190
C: 0.424 0.344 0.690
C: 0.576 0.656 0.310
C: 0.576 0.844 0.810
C: 0.773 0.661 0.958
C: 0.773 0.839 0.458
N: 0.289 0.174 0.071
N: 0.289 0.326 0.571
N: 0.711 0.674 0.429
N: 0.711 0.826 0.929
Cl: 0.015 0.063 0.820
Cl: 0.015 0.437 0.320
Cl: 0.294 0.699 0.527
Cl: 0.294 0.801 0.027
Cl: 0.706 0.199 0.973
Cl: 0.706 0.301 0.473
Cl: 0.985 0.563 0.680
Cl: 0.985 0.937 0.180